[1]
Mg7Zn2Pb: theoretical powder diffraction line list (copper Kα), based on a PBE-relaxed structure.

Top 10 peaks for 2θ = 10–90°, in order of rising 2θ:
- 2θ = 19.46°, d = 4.561 Å, intensity 166, (1 0 1)
- 2θ = 22.92°, d = 3.881 Å, intensity 1000, (1 0 3)
- 2θ = 26.98°, d = 3.305 Å, intensity 154, (1 1 0)
- 2θ = 28.32°, d = 3.151 Å, intensity 173, (1 1 2)
- 2θ = 32.05°, d = 2.793 Å, intensity 196, (1 1 4)
- 2θ = 37.52°, d = 2.397 Å, intensity 682, (1 1 6)
- 2θ = 38.52°, d = 2.337 Å, intensity 359, (2 0 0)
- 2θ = 43.53°, d = 2.079 Å, intensity 228, (1 0 9)
- 2θ = 45.30°, d = 2.002 Å, intensity 337, (2 1 3)
- 2θ = 69.03°, d = 1.360 Å, intensity 251, (3 1 6)

Cell and atoms:
```
data_Mg7Zn2Pb
_chemical_formula_sum 'Mg14 Zn4 Pb2'
_cell_length_a 4.6738
_cell_length_b 4.6738
_cell_length_c 20.8932
_cell_angle_alpha 90.00
_cell_angle_beta 90.00
_cell_angle_gamma 90.00
_space_group_name_H-M_alt 'I 4/m m m'
_space_group_IT_number 139
_space_group_name_Hall '-I 4 2'
loop_
_atom_site_label
_atom_site_type_symbol
_atom_site_fract_x
_atom_site_fract_y
_atom_site_fract_z
Mg1 Mg 0.0000 0.0000 0.0000
Mg2 Mg 0.0000 0.5000 0.1034
Mg3 Mg 0.0000 0.5000 0.2500
Zn1 Zn 0.0000 0.0000 0.1728
Pb1 Pb 0.0000 0.0000 0.5000
```


[2]
Mg6Zn6Pb: theoretical powder diffraction line list (copper Kα), based on a PBE-relaxed structure.

Top 10 peaks for 2θ = 10–90°, in order of rising 2θ:
- 2θ = 13.20°, d = 6.707 Å, intensity 869, (0 1 1)
- 2θ = 18.24°, d = 4.863 Å, intensity 422, (1 0 1)
- 2θ = 26.04°, d = 3.422 Å, intensity 1000, (1 1 2)
- 2θ = 26.62°, d = 3.349 Å, intensity 853, (0 2 2)
- 2θ = 36.71°, d = 2.448 Å, intensity 649, (0 0 4)
- 2θ = 36.97°, d = 2.431 Å, intensity 487, (2 0 2)
- 2θ = 37.59°, d = 2.393 Å, intensity 988, (2 2 0)
- 2θ = 38.16°, d = 2.358 Å, intensity 882, (1 3 2)
- 2θ = 39.14°, d = 2.301 Å, intensity 463, (0 4 0)
- 2θ = 53.55°, d = 1.711 Å, intensity 514, (2 2 4)

Cell and atoms:
```
data_Mg6Zn6Pb
_chemical_formula_sum 'Mg12 Zn12 Pb2'
_cell_length_a 5.6023
_cell_length_b 9.2059
_cell_length_c 9.7919
_cell_angle_alpha 90.00
_cell_angle_beta 90.00
_cell_angle_gamma 90.00
_space_group_name_H-M_alt 'I m m m'
_space_group_IT_number 71
_space_group_name_Hall '-I 2 2'
loop_
_atom_site_label
_atom_site_type_symbol
_atom_site_fract_x
_atom_site_fract_y
_atom_site_fract_z
Mg1 Mg 0.0000 0.0000 0.1551
Mg2 Mg 0.0000 0.3191 0.0000
Mg3 Mg 0.0000 0.3390 0.5000
Zn1 Zn 0.0000 0.5000 0.2456
Zn2 Zn 0.2500 0.2500 0.2500
Pb1 Pb 0.0000 0.0000 0.5000
```


[3]
Mg14ZnPb: theoretical powder diffraction line list (copper Kα), based on a PBE-relaxed structure.

Top 10 peaks for 2θ = 10–90°, in order of rising 2θ:
- 2θ = 10.28°, d = 8.601 Å, intensity 502, (0 0 1)
- 2θ = 17.10°, d = 5.187 Å, intensity 229, (1 1 1)
- 2θ = 19.31°, d = 4.598 Å, intensity 256, (2 0 0)
- 2θ = 21.92°, d = 4.055 Å, intensity 381, (2 0 1)
- 2θ = 28.42°, d = 3.141 Å, intensity 204, (2 0 2)
- 2θ = 34.59°, d = 2.593 Å, intensity 1000, (2 2 2)
- 2θ = 39.19°, d = 2.299 Å, intensity 352, (4 0 0)
- 2θ = 42.02°, d = 2.150 Å, intensity 223, (0 0 4)
- 2θ = 58.80°, d = 1.570 Å, intensity 208, (4 0 4)
- 2θ = 68.07°, d = 1.377 Å, intensity 281, (6 2 2)

Cell and atoms:
```
data_Mg14ZnPb
_chemical_formula_sum 'Mg28 Zn2 Pb2'
_cell_length_a 9.1915
_cell_length_b 9.1994
_cell_length_c 8.6010
_cell_angle_alpha 90.00
_cell_angle_beta 90.00
_cell_angle_gamma 90.00
_space_group_name_H-M_alt 'C m m m'
_space_group_IT_number 65
_space_group_name_Hall '-C 2 2'
loop_
_atom_site_label
_atom_site_type_symbol
_atom_site_fract_x
_atom_site_fract_y
_atom_site_fract_z
Mg1 Mg 0.0000 0.0000 0.0000
Mg2 Mg 0.0000 0.2410 0.2517
Mg3 Mg 0.0000 0.5000 0.0000
Mg4 Mg 0.2411 0.0000 0.2518
Mg5 Mg 0.2500 0.2500 0.0000
Mg6 Mg 0.2500 0.2500 0.5000
Zn1 Zn 0.0000 0.0000 0.5000
Pb1 Pb 0.0000 0.5000 0.5000
```